Starting from DFT lattice parameters and positions (PBE+U), the powder diffraction line list of Na2Li2CrF6 was computed for Cu Kα (λ = 1.5418 Å).

Peak list (6 most intense, 2θ from 10° to 90°, most intense first)
- 2θ = 25.55°, I 100
- 2θ = 48.25°, I 88
- 2θ = 38.02°, I 62
- 2θ = 60.98°, I 33
- 2θ = 43.07°, I 25
- 2θ = 16.38°, I 21

Crystal structure
Cell: 5.2632 5.2632 5.4103 Å, 90.00 90.00 120.00°
Space group P-31m (No. 162)
Unique sites:
1 Na 0.3333 0.6667 0.0000 [2 per cell]
2 Li 0.3333 0.6667 0.5000 [2 per cell]
3 Cr 0.0000 0.0000 0.5000 [1 per cell]
4 F 0.0000 0.3464 0.2896 [6 per cell]